1.
For LaGaH, a GGA-PBE-relaxed structure gives the computed XRD peak list in this record (λ = 1.5418 Å (Cu Kα)).
Peak positions follow from Bragg's law for the DFT cell and can differ from measured ones.

Main lines, in order of rising 2θ (10° ≤ 2θ ≤ 90°):
d [Å]  I/Imax
2.983  80.6
2.954  100.0
2.510  47.8
2.449  27.8
1.741  33.0
1.637  39.0

Atomic structure:
a = 4.317 Å, b = 4.287 Å, c = 6.555 Å
α = 90.00°, β = 109.16°, γ = 90.00°
Fractional coordinates of all 6 atoms:
La (0.155, 0.250, 0.311)
La (0.845, 0.750, 0.689)
Ga (0.444, 0.250, 0.890)
Ga (0.556, 0.750, 0.110)
H (0.248, 0.750, 0.497)
H (0.752, 0.250, 0.503)



2.
For Li6Mg8Ag, a GGA-PBE-relaxed structure gives the computed XRD peak list in this record (λ = 1.5418 Å (Cu Kα)).
Peak positions follow from Bragg's law for the DFT cell and can differ from measured ones.

Main lines, in order of rising 2θ (10° ≤ 2θ ≤ 90°):
d [Å]  I/Imax
6.538  82.1
5.245  62.4
4.180  57.4
3.226  65.6
2.805  47.7
2.575  100.0

Atomic structure:
a = 7.001 Å, b = 7.001 Å, c = 7.001 Å
α = 73.32°, β = 73.32°, γ = 73.32°
Fractional coordinates of all 15 atoms:
Li (0.041, 0.639, 0.296)
Li (0.296, 0.041, 0.639)
Li (0.361, 0.704, 0.959)
Li (0.639, 0.296, 0.041)
Li (0.704, 0.959, 0.361)
Li (0.959, 0.361, 0.704)
Mg (0.070, 0.762, 0.657)
Mg (0.238, 0.343, 0.930)
Mg (0.343, 0.930, 0.238)
Mg (0.402, 0.402, 0.402)
Mg (0.598, 0.598, 0.598)
Mg (0.657, 0.070, 0.762)
Mg (0.762, 0.657, 0.070)
Mg (0.930, 0.238, 0.343)
Ag (0.000, 0.000, 0.000)



3.
For Cu2Ag3S2Br3, a GGA-PBE-relaxed structure gives the computed XRD peak list in this record (λ = 1.5418 Å (Cu Kα)).
Peak positions follow from Bragg's law for the DFT cell and can differ from measured ones.

Main lines, in order of rising 2θ (10° ≤ 2θ ≤ 90°):
d [Å]  I/Imax
3.375  74.6
2.867  79.7
2.804  71.4
2.027  67.6
1.966  100.0
1.738  42.3

Atomic structure:
a = 13.803 Å, b = 13.803 Å, c = 13.803 Å
α = 163.11°, β = 163.11°, γ = 23.97°
Fractional coordinates of all 10 atoms:
Cu (0.250, 0.750, 0.500)
Cu (0.750, 0.250, 0.500)
Ag (0.000, 0.000, 0.000)
Ag (0.388, 0.388, 0.000)
Ag (0.612, 0.612, 0.000)
S (0.293, 0.293, 0.000)
S (0.707, 0.707, 0.000)
Br (0.105, 0.105, 0.000)
Br (0.500, 0.500, 0.000)
Br (0.895, 0.895, 0.000)



4.
For Hg12BiPb7, a GGA-PBE-relaxed structure gives the computed XRD peak list in this record (λ = 1.5418 Å (Cu Kα)).
Peak positions follow from Bragg's law for the DFT cell and can differ from measured ones.

Main lines, in order of rising 2θ (10° ≤ 2θ ≤ 90°):
d [Å]  I/Imax
3.196  51.9
3.065  39.1
2.939  48.2
2.875  100.0
2.639  69.1
2.612  85.4

Atomic structure:
a = 6.611 Å, b = 9.360 Å, c = 10.859 Å
α = 108.09°, β = 100.52°, γ = 104.71°
Fractional coordinates of all 20 atoms:
Hg (0.019, 0.381, 0.374)
Hg (0.038, 0.951, 0.623)
Hg (0.303, 0.825, 0.901)
Hg (0.327, 0.178, 0.240)
Hg (0.426, 0.832, 0.509)
Hg (0.440, 0.526, 0.305)
Hg (0.560, 0.474, 0.695)
Hg (0.574, 0.168, 0.491)
Hg (0.673, 0.822, 0.760)
Hg (0.697, 0.175, 0.099)
Hg (0.962, 0.049, 0.377)
Hg (0.981, 0.619, 0.626)
Bi (0.000, 0.500, 0.000)
Pb (0.068, 0.325, 0.695)
Pb (0.109, 0.155, 0.945)
Pb (0.426, 0.837, 0.207)
Pb (0.500, 0.500, 0.000)
Pb (0.574, 0.163, 0.793)
Pb (0.891, 0.845, 0.055)
Pb (0.932, 0.675, 0.305)



5.
For Pr2Er6Th, a GGA-PBE-relaxed structure gives the computed XRD peak list in this record (λ = 1.5418 Å (Cu Kα)).
Peak positions follow from Bragg's law for the DFT cell and can differ from measured ones.

Main lines, in order of rising 2θ (10° ≤ 2θ ≤ 90°):
d [Å]  I/Imax
2.932  100.0
2.904  56.0
2.794  94.9
2.541  38.4
2.257  21.0
1.650  20.0

Atomic structure:
a = 10.254 Å, b = 10.254 Å, c = 6.252 Å
α = 92.64°, β = 92.64°, γ = 118.02°
Fractional coordinates of all 18 atoms:
Pr (0.152, 0.348, 0.001)
Pr (0.348, 0.152, 0.501)
Pr (0.652, 0.848, 0.499)
Pr (0.848, 0.652, 0.999)
Er (0.002, 0.166, 0.502)
Er (0.094, 0.593, 0.722)
Er (0.166, 0.002, 0.002)
Er (0.334, 0.498, 0.498)
Er (0.407, 0.906, 0.778)
Er (0.498, 0.334, 0.998)
Er (0.502, 0.666, 0.002)
Er (0.593, 0.094, 0.222)
Er (0.666, 0.502, 0.501)
Er (0.834, 0.998, 0.998)
Er (0.906, 0.407, 0.278)
Er (0.998, 0.834, 0.498)
Th (0.250, 0.750, 0.250)
Th (0.750, 0.250, 0.750)



6.
For Sm2Ge3Pt3, a GGA-PBE-relaxed structure gives the computed XRD peak list in this record (λ = 1.5418 Å (Cu Kα)).
Peak positions follow from Bragg's law for the DFT cell and can differ from measured ones.

Main lines, in order of rising 2θ (10° ≤ 2θ ≤ 90°):
d [Å]  I/Imax
7.025  24.4
2.899  100.0
2.635  34.3
2.050  37.5
1.950  57.3
1.618  31.6

Atomic structure:
a = 2.899 Å, b = 2.899 Å, c = 21.076 Å
α = 90.00°, β = 90.00°, γ = 90.00°
Fractional coordinates of all 8 atoms:
Sm (0.000, 0.000, 0.246)
Sm (0.000, 0.000, 0.754)
Ge (0.000, 0.000, 0.000)
Ge (0.000, 0.000, 0.385)
Ge (0.000, 0.000, 0.615)
Pt (0.000, 0.000, 0.116)
Pt (0.000, 0.000, 0.500)
Pt (0.000, 0.000, 0.884)